[1]
Diffraction record for Tb3Pm2In. The powder diffraction line list is theoretical, not measured: it uses a DFT-relaxed cell (GGA-PBE, Alexandria) and Cu Ka.

Peak list (10 most intense, 10° ≤ 2θ ≤ 90°, in order of rising 2θ)
Position (°2θ), I_rel
31.16, 100.0
35.25, 17.8
36.47, 16.5
36.67, 16.2
51.63, 12.0
51.78, 11.9
60.73, 14.5
62.36, 13.7
62.63, 13.5
64.99, 12.0

Structural model:
```
Tb3Pm2In
1.0
4.9008 0.0000 0.0000
0.0000 15.2759 0.0000
0.0000 0.0000 4.9268
Tb Pm In
6 4 2
Direct
0.0000 0.0000 0.0000 Tb
0.0000 0.3357 0.0000 Tb
0.0000 0.6643 0.0000 Tb
0.5000 0.1643 0.0000 Tb
0.5000 0.5000 0.0000 Tb
0.5000 0.8357 0.0000 Tb
0.0000 0.1621 0.5000 Pm
0.0000 0.8379 0.5000 Pm
0.5000 0.3379 0.5000 Pm
0.5000 0.6621 0.5000 Pm
0.0000 0.5000 0.5000 In
0.5000 0.0000 0.5000 In
```

---

[2]
Diffraction record for LiTl2InBr4. The powder diffraction line list is theoretical, not measured: it uses a DFT-relaxed cell (GGA-PBE, Alexandria) and Cu Ka.

Peak list (10 most intense, 10° ≤ 2θ ≤ 90°, in order of rising 2θ)
Position (°2θ), I_rel
11.83, 22.3
22.73, 17.4
22.85, 17.6
27.47, 100.0
27.69, 43.2
30.06, 18.1
39.24, 38.0
39.40, 66.2
48.70, 35.4
71.23, 21.8

Structural model:
```
LiTl2InBr4
1.0
6.4876 -6.4435 0.0000
6.4876 6.4435 0.0000
-6.4867 0.0000 6.4998
Li Tl In Br
2 4 2 8
Direct
0.0000 0.0000 0.0000 Li
0.0000 0.0000 0.5000 Li
0.0000 0.5000 0.0000 Tl
0.5000 0.0000 0.5000 Tl
0.5000 0.5000 0.0000 Tl
0.5000 0.5000 0.5000 Tl
0.0000 0.5000 0.5000 In
0.5000 0.0000 0.0000 In
0.2156 0.7843 0.5020 Br
0.2157 0.7844 0.9980 Br
0.2268 0.2291 0.4796 Br
0.2291 0.2268 0.9796 Br
0.7709 0.7732 0.0204 Br
0.7732 0.7709 0.5204 Br
0.7843 0.2156 0.0020 Br
0.7844 0.2157 0.4980 Br
```

---

[3]
Diffraction record for YErGaSe. The powder diffraction line list is theoretical, not measured: it uses a DFT-relaxed cell (GGA-PBE, Alexandria) and Cu Ka.

Peak list (10 most intense, 10° ≤ 2θ ≤ 90°, in order of rising 2θ)
Position (°2θ), I_rel
12.13, 10.0
27.36, 8.5
30.87, 100.0
42.33, 41.7
46.04, 32.8
56.46, 17.7
64.32, 11.9
70.32, 18.1
75.72, 14.7
82.67, 11.7

Structural model:
```
YErGaSe
1.0
3.9429 0.0000 0.0000
-1.9714 3.4146 0.0000
0.0000 0.0000 21.8866
Y Er Ga Se
3 3 3 3
Direct
0.0000 0.0000 0.0000 Y
0.3333 0.6667 0.6667 Y
0.6667 0.3333 0.3333 Y
0.0000 0.0000 0.5025 Er
0.3333 0.6667 0.1692 Er
0.6667 0.3333 0.8358 Er
0.0000 0.0000 0.7522 Ga
0.3333 0.6667 0.4189 Ga
0.6667 0.3333 0.0856 Ga
0.0000 0.0000 0.2502 Se
0.3333 0.6667 0.9169 Se
0.6667 0.3333 0.5836 Se
```

---

[4]
Diffraction record for Tm6Sb3Ru. The powder diffraction line list is theoretical, not measured: it uses a DFT-relaxed cell (GGA-PBE, Alexandria) and Cu Ka.

Peak list (10 most intense, 10° ≤ 2θ ≤ 90°, in order of rising 2θ)
Position (°2θ), I_rel
23.69, 45.3
23.93, 26.1
27.89, 21.8
33.18, 100.0
34.88, 65.7
34.98, 37.3
44.59, 30.9
52.91, 22.0
62.29, 21.7
64.48, 23.4

Structural model:
```
Tm6Sb3Ru
1.0
5.4867 -7.1246 0.0000
5.4867 7.1246 0.0000
0.0000 0.0000 7.4368
Tm Sb Ru
12 6 2
Direct
0.0062 0.9938 0.5000 Tm
0.0943 0.5956 0.5718 Tm
0.2456 0.7544 0.0443 Tm
0.2871 0.3703 0.0839 Tm
0.3703 0.2871 0.5839 Tm
0.4044 0.9057 0.5718 Tm
0.5956 0.0943 0.0718 Tm
0.6297 0.7129 0.0839 Tm
0.7129 0.6297 0.5839 Tm
0.7544 0.2456 0.5443 Tm
0.9057 0.4044 0.0718 Tm
0.9938 0.0062 0.0000 Tm
0.0715 0.2926 0.7581 Sb
0.2926 0.0715 0.2581 Sb
0.4011 0.5989 0.3875 Sb
0.5989 0.4011 0.8875 Sb
0.7074 0.9285 0.7581 Sb
0.9285 0.7074 0.2581 Sb
0.1394 0.8606 0.7572 Ru
0.8606 0.1394 0.2572 Ru
```

---

[5]
Diffraction record for Na6SiP4. The powder diffraction line list is theoretical, not measured: it uses a DFT-relaxed cell (GGA-PBE, Alexandria) and Cu Ka.

Peak list (10 most intense, 10° ≤ 2θ ≤ 90°, in order of rising 2θ)
Position (°2θ), I_rel
11.04, 61.7
16.93, 28.8
25.74, 21.3
32.26, 65.5
34.24, 100.0
36.04, 45.6
38.93, 87.3
39.54, 16.0
40.71, 25.6
64.85, 24.4

Structural model:
```
Na6SiP4
1.0
9.2546 0.0000 0.0000
-4.6273 8.0147 0.0000
0.0000 0.0000 6.9195
Na Si P
12 2 8
Direct
0.0529 0.5265 0.0000 Na
0.1477 0.2954 0.2996 Na
0.1477 0.8523 0.2996 Na
0.2954 0.1477 0.7996 Na
0.4735 0.5265 0.0000 Na
0.4735 0.9471 0.0000 Na
0.5265 0.0529 0.5000 Na
0.5265 0.4735 0.5000 Na
0.7046 0.8523 0.2996 Na
0.8523 0.1477 0.7996 Na
0.8523 0.7046 0.7996 Na
0.9471 0.4735 0.5000 Na
0.3333 0.6667 0.6227 Si
0.6667 0.3333 0.1227 Si
0.1974 0.3948 0.7117 P
0.1974 0.8026 0.7117 P
0.3333 0.6667 0.2973 P
0.3948 0.1974 0.2117 P
0.6052 0.8026 0.7117 P
0.6667 0.3333 0.7973 P
0.8026 0.1974 0.2117 P
0.8026 0.6052 0.2117 P
```

---

[6]
Diffraction record for Nb3VSe8. The powder diffraction line list is theoretical, not measured: it uses a DFT-relaxed cell (GGA-PBE, Alexandria) and Cu Ka.

Peak list (10 most intense, 10° ≤ 2θ ≤ 90°, in order of rising 2θ)
Position (°2θ), I_rel
12.65, 95.9
30.02, 23.5
30.93, 18.7
34.31, 100.0
34.47, 49.6
45.76, 21.2
45.96, 42.1
52.30, 13.6
52.71, 43.1
64.49, 15.3

Structural model:
```
Nb3VSe8
1.0
6.0121 -3.4749 0.0000
6.0121 3.4749 0.0000
-4.0497 0.0000 6.9971
Nb V Se
3 1 8
Direct
0.0000 0.0000 0.0000 Nb
0.0000 0.5000 0.0000 Nb
0.5000 0.0000 0.0000 Nb
0.5000 0.5000 0.0000 V
0.2482 0.2482 0.2416 Se
0.2546 0.7410 0.2340 Se
0.2590 0.2590 0.7663 Se
0.2590 0.7454 0.7660 Se
0.7410 0.2546 0.2340 Se
0.7410 0.7410 0.2337 Se
0.7454 0.2590 0.7660 Se
0.7518 0.7518 0.7584 Se
```

---

[7]
Diffraction record for AgH2F6. The powder diffraction line list is theoretical, not measured: it uses a DFT-relaxed cell (GGA-PBE, Alexandria) and Cu Ka.

Peak list (10 most intense, 10° ≤ 2θ ≤ 90°, in order of rising 2θ)
Position (°2θ), I_rel
14.19, 100.0
19.40, 43.8
19.74, 33.1
22.27, 32.2
26.04, 31.2
30.96, 25.5
31.16, 33.5
32.79, 18.2
39.91, 27.1
44.54, 30.5

Structural model:
```
AgH2F6
1.0
4.6479 -4.2638 0.0000
4.6479 4.2638 0.0000
-1.0164 0.0000 5.7343
Ag H F
2 4 12
Direct
0.1036 0.8964 0.7500 Ag
0.8964 0.1036 0.2500 Ag
0.3200 0.4427 0.8758 H
0.4427 0.3200 0.3758 H
0.5573 0.6800 0.6242 H
0.6800 0.5573 0.1242 H
0.0555 0.1790 0.6278 F
0.1377 0.6177 0.8650 F
0.1790 0.0555 0.1278 F
0.3172 0.4205 0.3891 F
0.3823 0.8623 0.6350 F
0.4205 0.3172 0.8891 F
0.5795 0.6828 0.1109 F
0.6177 0.1377 0.3650 F
0.6828 0.5795 0.6109 F
0.8210 0.9445 0.8722 F
0.8623 0.3823 0.1350 F
0.9445 0.8210 0.3722 F
```

---

[8]
Diffraction record for P5Br. The powder diffraction line list is theoretical, not measured: it uses a DFT-relaxed cell (GGA-PBE, Alexandria) and Cu Ka.

Peak list (10 most intense, 10° ≤ 2θ ≤ 90°, in order of rising 2θ)
Position (°2θ), I_rel
16.63, 44.3
25.06, 44.6
29.94, 69.2
30.75, 38.2
32.61, 100.0
36.68, 76.6
37.13, 69.2
52.01, 47.8
52.64, 30.6
55.07, 37.5

Structural model:
```
P5Br
1.0
6.2290 0.0000 0.0000
0.0000 3.4777 0.0000
-2.1358 0.0000 10.6610
P Br
10 2
Direct
0.0000 0.0000 0.0000 P
0.0047 0.5000 0.4990 P
0.1093 0.0000 0.3806 P
0.2692 0.5000 0.2542 P
0.3532 0.0000 0.1100 P
0.5000 0.5000 0.0000 P
0.5047 0.0000 0.4990 P
0.6093 0.5000 0.3806 P
0.7692 0.0000 0.2542 P
0.8532 0.5000 0.1100 P
0.2485 0.5000 0.6840 Br
0.7485 0.0000 0.6840 Br
```

---

[9]
Diffraction record for Mg3B7ClO13. The powder diffraction line list is theoretical, not measured: it uses a DFT-relaxed cell (GGA-PBE, Alexandria) and Cu Ka.

Peak list (10 most intense, 10° ≤ 2θ ≤ 90°, in order of rising 2θ)
Position (°2θ), I_rel
14.56, 33.8
25.35, 39.9
29.35, 99.3
32.91, 72.9
41.99, 48.5
44.02, 100.0
49.69, 27.2
52.06, 36.7
69.02, 31.8
76.72, 35.6

Structural model:
```
Mg3B7ClO13
1.0
0.0000 6.0854 6.0854
6.0854 0.0000 6.0854
6.0854 6.0854 0.0000
Mg B Cl O
6 14 2 26
Direct
0.2500 0.2500 0.7500 Mg
0.2500 0.7500 0.2500 Mg
0.2500 0.7500 0.7500 Mg
0.7500 0.2500 0.2500 Mg
0.7500 0.2500 0.7500 Mg
0.7500 0.7500 0.2500 Mg
0.0000 0.0000 0.5000 B
0.0000 0.5000 0.0000 B
0.0000 0.5000 0.5000 B
0.1694 0.1694 0.1694 B
0.1694 0.1694 0.4919 B
0.1694 0.4919 0.1694 B
0.4919 0.1694 0.1694 B
0.5000 0.0000 0.0000 B
0.5000 0.0000 0.5000 B
0.5000 0.5000 0.0000 B
0.6694 0.6694 0.6694 B
0.6694 0.6694 0.9919 B
0.6694 0.9919 0.6694 B
0.9919 0.6694 0.6694 B
0.0000 0.0000 0.0000 Cl
0.5000 0.5000 0.5000 Cl
0.0495 0.4919 0.8127 O
0.0495 0.6459 0.4919 O
0.0495 0.8127 0.6459 O
0.1459 0.3127 0.5495 O
0.1459 0.5495 0.9919 O
0.1459 0.9919 0.3127 O
0.2500 0.2500 0.2500 O
0.3127 0.1459 0.9919 O
0.3127 0.5495 0.1459 O
0.3127 0.9919 0.5495 O
0.4919 0.0495 0.6459 O
0.4919 0.6459 0.8127 O
0.4919 0.8127 0.0495 O
0.5495 0.1459 0.3127 O
0.5495 0.3127 0.9919 O
0.5495 0.9919 0.1459 O
0.6459 0.0495 0.8127 O
0.6459 0.4919 0.0495 O
0.6459 0.8127 0.4919 O
0.7500 0.7500 0.7500 O
0.8127 0.0495 0.4919 O
0.8127 0.4919 0.6459 O
0.8127 0.6459 0.0495 O
0.9919 0.1459 0.5495 O
0.9919 0.3127 0.1459 O
0.9919 0.5495 0.3127 O
```

---

[10]
Diffraction record for TbNd6Zn2. The powder diffraction line list is theoretical, not measured: it uses a DFT-relaxed cell (GGA-PBE, Alexandria) and Cu Ka.

Peak list (10 most intense, 10° ≤ 2θ ≤ 90°, in order of rising 2θ)
Position (°2θ), I_rel
31.02, 24.0
31.74, 23.3
32.71, 100.0
44.93, 7.7
47.10, 7.8
48.82, 9.6
56.26, 9.8
57.16, 12.4
58.97, 13.3
59.42, 7.7

Structural model:
```
TbNd6Zn2
1.0
6.4112 -1.8653 0.0000
6.4112 1.8653 0.0000
-4.0706 0.0000 11.4078
Tb Nd Zn
1 6 2
Direct
0.0000 0.0000 0.0000 Tb
0.0279 0.0279 0.3263 Nd
0.3112 0.3112 0.1243 Nd
0.3121 0.3121 0.4082 Nd
0.6879 0.6879 0.5918 Nd
0.6888 0.6888 0.8757 Nd
0.9721 0.9721 0.6737 Nd
0.3557 0.3557 0.8050 Zn
0.6443 0.6443 0.1950 Zn
```

---

[11]
Diffraction record for Sc4Pb3O. The powder diffraction line list is theoretical, not measured: it uses a DFT-relaxed cell (GGA-PBE, Alexandria) and Cu Ka.

Peak list (10 most intense, 10° ≤ 2θ ≤ 90°, in order of rising 2θ)
Position (°2θ), I_rel
21.27, 54.2
24.05, 100.0
25.94, 88.5
29.68, 69.5
29.95, 24.8
31.04, 28.7
39.57, 32.9
39.82, 51.2
40.67, 48.6
51.79, 23.8

Structural model:
```
Sc4Pb3O
1.0
7.3819 0.0000 0.0000
0.0000 9.3864 0.0000
0.0000 0.0000 6.0193
Sc Pb O
8 6 2
Direct
0.0000 0.0479 0.0000 Sc
0.0000 0.8044 0.3913 Sc
0.2274 0.6959 0.9568 Sc
0.2726 0.3041 0.4568 Sc
0.5000 0.1956 0.8913 Sc
0.5000 0.9521 0.5000 Sc
0.7274 0.3041 0.4568 Sc
0.7726 0.6959 0.9568 Sc
0.0000 0.0870 0.5139 Pb
0.2021 0.3760 0.9700 Pb
0.2979 0.6240 0.4700 Pb
0.5000 0.9130 0.0139 Pb
0.7021 0.6240 0.4700 Pb
0.7979 0.3760 0.9700 Pb
0.0000 0.8128 0.0428 O
0.5000 0.1872 0.5428 O
```

---

[12]
Diffraction record for Ca2MgBe. The powder diffraction line list is theoretical, not measured: it uses a DFT-relaxed cell (GGA-PBE, Alexandria) and Cu Ka.

Peak list (10 most intense, 10° ≤ 2θ ≤ 90°, in order of rising 2θ)
Position (°2θ), I_rel
21.52, 12.4
24.97, 26.3
27.23, 23.9
32.52, 13.6
33.19, 100.0
35.60, 48.8
48.98, 16.0
51.23, 15.8
61.90, 12.4
62.41, 27.7

Structural model:
```
Ca2MgBe
1.0
3.5667 0.0000 0.0000
0.0000 3.5667 0.0000
0.0000 0.0000 8.2600
Ca Mg Be
2 1 1
Direct
0.0000 0.0000 0.2108 Ca
0.0000 0.0000 0.7892 Ca
0.5000 0.5000 0.5000 Mg
0.5000 0.5000 0.0000 Be
```